# NdHo2Th4
Computed X-ray diffraction stick pattern, CuKα. Input: a DFT-relaxed cell (GGA-PBE, Alexandria).

Main lines, in order of rising 2θ (10 to 80 degrees two-theta):
| 2theta | d [Å] | intensity |
| --- | --- | --- |
| 13.39 | 6.615 | 23 |
| 26.70 | 3.339 | 16 |
| 30.21 | 2.958 | 20 |
| 31.50 | 2.840 | 100 |
| 32.32 | 2.770 | 39 |
| 32.96 | 2.717 | 15 |
| 34.37 | 2.609 | 45 |
| 38.49 | 2.339 | 15 |
| 44.83 | 2.022 | 14 |
| 49.70 | 1.835 | 14 |
| 57.13 | 1.612 | 19 |
| 60.53 | 1.530 | 16 |

Atomic structure:
Cell: 9.355 9.355 5.540 Å, 90.00 90.00 90.00°
Atoms (fractional coordinates):
Nd 0.000 0.000 0.000
Nd 0.500 0.500 0.500
Ho 0.186 0.186 0.500
Ho 0.314 0.686 0.000
Ho 0.686 0.314 0.000
Ho 0.814 0.814 0.500
Th 0.121 0.624 0.500
Th 0.124 0.379 0.000
Th 0.376 0.879 0.500
Th 0.379 0.124 0.000
Th 0.621 0.876 0.000
Th 0.624 0.121 0.500
Th 0.876 0.621 0.000
Th 0.879 0.376 0.500